Entry 1:
# NiPH16NO10
Theoretical XRD peak list, λ = 1.5418 Å (Cu Kα). Input: DFT lattice parameters and positions (PBE+U).
Lines closer than 0.1° are merged.

Cell and atoms:
```
NiPH16NO10
1.0
6.9768 0.0000 0.0000
0.0000 6.0746 0.0000
0.0000 0.0000 11.2619
Ni P H N O
2 2 32 2 20
direct
0.0000 0.1446 0.0000
0.5000 0.8554 0.5000
0.0000 0.4886 0.3732
0.5000 0.5114 0.8732
0.0000 0.1278 0.7289
0.0000 0.2565 0.5913
0.0000 0.6938 0.0350
0.0000 0.7902 0.1682
0.1177 0.5225 0.8835
0.1202 0.0112 0.6178
0.1803 0.6528 0.5712
0.1826 0.8635 0.3573
0.2011 0.2990 0.1929
0.2442 0.8868 0.8696
0.2558 0.1132 0.3696
0.2989 0.7010 0.6929
0.3174 0.1365 0.8573
0.3197 0.3472 0.0712
0.3798 0.9888 0.1178
0.3823 0.4775 0.3835
0.5000 0.2098 0.6682
0.5000 0.3062 0.5350
0.5000 0.7435 0.0913
0.5000 0.8722 0.2289
0.6177 0.4775 0.3835
0.6202 0.9888 0.1178
0.6803 0.3472 0.0712
0.6826 0.1365 0.8573
0.7011 0.7010 0.6929
0.7442 0.1132 0.3696
0.7558 0.8868 0.8696
0.7989 0.2990 0.1929
0.8174 0.8635 0.3573
0.8197 0.6528 0.5712
0.8798 0.0112 0.6178
0.8823 0.5225 0.8835
0.0000 0.1061 0.6379
0.5000 0.8939 0.1379
0.0000 0.4708 0.9279
0.0000 0.5059 0.5113
0.0000 0.7243 0.3178
0.0000 0.8314 0.0823
0.1839 0.3662 0.3310
0.2010 0.0435 0.8768
0.2252 0.2433 0.1093
0.2748 0.7567 0.6093
0.2990 0.9565 0.3768
0.3161 0.6338 0.8310
0.5000 0.1686 0.5823
0.5000 0.2757 0.8178
0.5000 0.4941 0.0113
0.5000 0.5292 0.4279
0.6839 0.6338 0.8310
0.7010 0.9565 0.3768
0.7252 0.7567 0.6093
0.7748 0.2433 0.1093
0.7990 0.0435 0.8768
0.8161 0.3662 0.3310
```

Peak list (10 most intense, 2θ = 10–90°, sorted by position)
- d 5.931, 2θ 14.9, I 47, (1 0 1)
- d 5.631, 2θ 15.7, I 64, (0 0 2)
- d 5.346, 2θ 16.6, I 49, (0 1 1)
- d 4.244, 2θ 20.9, I 100, (1 1 1)
- d 4.130, 2θ 21.5, I 24, (0 1 2)
- d 3.306, 2θ 27.0, I 46, (1 0 3)
- d 2.965, 2θ 30.1, I 26, (2 0 2)
- d 2.922, 2θ 30.6, I 26, (2 1 1)
- d 2.665, 2θ 33.6, I 27, (2 1 2)
- d 1.807, 2θ 50.5, I 23, (2 1 5)

---

Entry 2:
# NiPH6NO5
Theoretical XRD peak list, λ = 1.5418 Å (Cu Kα). Input: DFT lattice parameters and positions (PBE+U).
Lines closer than 0.1° are merged.

Cell and atoms:
```
NiPH6NO5
1.0
5.6058 0.0000 0.0000
0.0000 8.9283 0.0000
0.0000 0.0000 4.7627
Ni P H N O
2 2 12 2 10
direct
0.0000 0.0199 0.0000
0.5000 0.9801 0.5000
0.0000 0.8099 0.4277
0.5000 0.1901 0.9277
0.0000 0.5437 0.6875
0.0000 0.5485 0.0501
0.1399 0.1845 0.4191
0.1522 0.4124 0.8763
0.3478 0.5876 0.3763
0.3601 0.8155 0.9191
0.5000 0.4515 0.5501
0.5000 0.4563 0.1875
0.6399 0.8155 0.9191
0.6522 0.5876 0.3763
0.8478 0.4124 0.8763
0.8601 0.1845 0.4191
0.0000 0.4782 0.8721
0.5000 0.5218 0.3721
0.0000 0.1985 0.2955
0.0000 0.6380 0.3722
0.0000 0.8367 0.7447
0.2209 0.8849 0.2786
0.2791 0.1151 0.7786
0.5000 0.1633 0.2447
0.5000 0.3620 0.8722
0.5000 0.8015 0.7955
0.7209 0.1151 0.7786
0.7791 0.8849 0.2786
```

Peak list (10 most intense, 2θ = 10–90°, sorted by position)
- d 4.748, 2θ 18.7, I 21, (1 1 0)
- d 4.202, 2θ 21.1, I 28, (0 1 1)
- d 3.362, 2θ 26.5, I 33, (1 1 1)
- d 2.816, 2θ 31.8, I 100, (1 2 1)
- d 2.803, 2θ 31.9, I 38, (2 0 0)
- d 2.301, 2θ 39.1, I 31, (1 3 1)
- d 2.125, 2θ 42.5, I 15, (2 2 1)
- d 1.901, 2θ 47.8, I 15, (1 4 1)
- d 1.621, 2θ 56.8, I 15, (3 2 1)
- d 1.506, 2θ 61.6, I 15, (2 5 0)

---

Entry 3:
# NiP4H16N2O16
Theoretical XRD peak list, λ = 1.5418 Å (Cu Kα). Input: DFT lattice parameters and positions (PBE+U).
Lines closer than 0.1° are merged.

Cell and atoms:
```
NiP4H16N2O16
1.0
7.1513 0.0000 0.0000
-0.0855 7.3822 0.0000
-2.4728 -1.1951 7.2747
Ni P H N O
1 4 16 2 16
direct
0.0000 0.0000 0.0000
0.1652 0.2485 0.7442
0.2445 0.7185 0.2589
0.7555 0.2815 0.7411
0.8348 0.7515 0.2558
0.1199 0.1969 0.3465
0.1213 0.3317 0.2046
0.2426 0.4814 0.9805
0.3216 0.9001 0.8286
0.3498 0.6714 0.8127
0.4210 0.7909 0.6724
0.4357 0.2258 0.5774
0.4491 0.1780 0.0994
0.5509 0.8220 0.9006
0.5643 0.7742 0.4226
0.5790 0.2091 0.3276
0.6502 0.3286 0.1873
0.6784 0.0999 0.1714
0.7574 0.5186 0.0195
0.8787 0.6683 0.7954
0.8801 0.8031 0.6535
0.4113 0.7963 0.8039
0.5887 0.2037 0.1961
0.0580 0.2162 0.2177
0.0698 0.7360 0.3508
0.1977 0.1175 0.8842
0.2316 0.5214 0.1605
0.2371 0.8651 0.1415
0.2398 0.1928 0.5839
0.2547 0.4462 0.8462
0.4266 0.7529 0.4411
0.5734 0.2471 0.5589
0.7453 0.5538 0.1538
0.7602 0.8072 0.4161
0.7629 0.1349 0.8585
0.7684 0.4786 0.8395
0.8023 0.8825 0.1158
0.9302 0.2640 0.6492
0.9420 0.7838 0.7823
```

Peak list (10 most intense, 2θ = 10–90°, sorted by position)
- d 7.278, 2θ 12.2, I 60, (0 0 1)
- d 6.766, 2θ 13.1, I 69, (1 0 0)
- d 6.020, 2θ 14.7, I 30, (1 0 -1)
- d 5.623, 2θ 15.8, I 39, (0 1 -1)
- d 4.775, 2θ 18.6, I 100, (0 1 1)
- d 3.641, 2θ 24.5, I 45, (0 2 0)
- d 3.490, 2θ 25.5, I 64, (0 2 -1)
- d 3.197, 2θ 27.9, I 45, (2 1 -1)
- d 3.145, 2θ 28.4, I 37, (2 -1 0)
- d 2.671, 2θ 33.5, I 32, (2 -1 1)